# 1
Diffraction record for PaNClF. The PXRD pattern is simulated, not measured: it uses a DFT-relaxed cell (PBE, Alexandria) and Cu Kα (λ = 1.5418 Å).
Peak positions follow from Bragg's law for the DFT cell and can differ from measured ones.

Main lines, in order of rising 2θ (10° ≤ 2θ ≤ 90°):
2theta, I_rel
11.75, 100
23.63, 14
24.72, 24
27.12, 24
27.38, 13
27.52, 10
32.00, 20
35.78, 10
37.03, 27
40.16, 10
40.77, 10
40.92, 14

Crystal structure
a b c (Å): 7.7153 7.7153 3.6016
angles (deg): 90.36 90.36 25.22
Element x y z (fractional)
1 Pa 0.0000 0.0000 0.0000
2 N 0.4863 0.4863 0.6182
3 Cl 0.6444 0.6444 0.1180
4 F 0.8679 0.8679 0.1309

# 2
Diffraction record for RbN2ClF. The PXRD pattern is simulated, not measured: it uses a DFT-relaxed cell (PBE, Alexandria) and Cu Kα (λ = 1.5418 Å).
Peak positions follow from Bragg's law for the DFT cell and can differ from measured ones.

Main lines, in order of rising 2θ (10° ≤ 2θ ≤ 90°):
2theta, I_rel
14.08, 15
27.57, 100
28.38, 65
33.59, 37
36.59, 42
44.53, 33
48.24, 26
49.75, 18
56.47, 25
56.92, 30
71.81, 13
77.77, 11

Crystal structure
a b c (Å): 3.7729 3.7729 6.2907
angles (deg): 90.00 90.00 90.00
Element x y z (fractional)
1 Rb 0.0000 0.0000 0.0000
2 N 0.0000 0.5000 0.5000
3 N 0.5000 0.0000 0.5000
4 Cl 0.5000 0.5000 0.5000
5 F 0.5000 0.5000 0.0000

# 3
Diffraction record for ReNClF5. The PXRD pattern is simulated, not measured: it uses a DFT-relaxed cell (PBE, Alexandria) and Cu Kα (λ = 1.5418 Å).
Peak positions follow from Bragg's law for the DFT cell and can differ from measured ones.

Main lines, in order of rising 2θ (10° ≤ 2θ ≤ 90°):
2theta, I_rel
17.11, 100
20.25, 38
23.13, 61
25.36, 35
26.59, 16
27.86, 11
34.69, 9
36.03, 9
37.25, 28
40.32, 10
47.30, 14
47.78, 11

Crystal structure
a b c (Å): 5.2347 8.7705 6.4444
angles (deg): 90.00 96.42 90.00
Element x y z (fractional)
1 Re 0.0294 0.2500 0.2923
2 Re 0.9706 0.7500 0.7077
3 N 0.2369 0.2500 0.5251
4 N 0.7631 0.7500 0.4749
5 Cl 0.4328 0.2500 0.7278
6 Cl 0.5672 0.7500 0.2722
7 F 0.1964 0.6002 0.6219
8 F 0.1956 0.7500 0.9684
9 F 0.1964 0.8998 0.6219
10 F 0.2097 0.0976 0.1637
11 F 0.2097 0.4024 0.1637
12 F 0.7903 0.5976 0.8363
13 F 0.7903 0.9024 0.8363
14 F 0.8036 0.1002 0.3781
15 F 0.8044 0.2500 0.0316
16 F 0.8036 0.3998 0.3781